Entry 1:
Structure and computed powder diffraction line list of BaInH8Pd2 (the GGA-PBE geometry in Alexandria; Cu Kα (weighted mean of Kα1 and Kα2)).
No peak broadening, texture or thermal motion is included.

Top 8 peaks for 2θ from 10° to 80°, low angle first:
hkl  2θ (°)  I/Imax
1 0 0  20.91  25
1 0 1  24.45  59
0 1 2  32.96  100
1 1 0  36.64  68
2 0 2  50.10  30
1 0 4  56.38  20
1 2 2  63.66  29
3 0 0  65.98  12

Crystal structure
```
data_BaInH8Pd2
_chemical_formula_sum 'Ba1 In1 H8 Pd2'
_cell_length_a 4.9049
_cell_length_b 4.9049
_cell_length_c 7.0707
_cell_angle_alpha 90.00
_cell_angle_beta 90.00
_cell_angle_gamma 120.00
_symmetry_space_group_name_H-M 'P -3'
_symmetry_Int_Tables_number 147
_symmetry_space_group_name_Hall '-P 3'
loop_
_atom_site_label
_atom_site_type_symbol
_atom_site_fract_x
_atom_site_fract_y
_atom_site_fract_z
_atom_site_occupancy
Ba1 Ba 0.0000 0.0000 0.0000 1
In1 In 0.0000 0.0000 0.5000 1
H1 H 0.0150 0.6844 0.3175 1
H2 H 0.3333 0.6667 0.9051 1
Pd1 Pd 0.3333 0.6667 0.6749 1
```

***

Entry 2:
Structure and computed powder diffraction line list of Ba2InH6Pd (the GGA-PBE geometry in Alexandria; Cu Kα (weighted mean of Kα1 and Kα2)).
No peak broadening, texture or thermal motion is included.

Top 8 peaks for 2θ from 10° to 80°, low angle first:
hkl  2θ (°)  I/Imax
2 0 0  30.14  100
2 0 -2  30.23  33
2 2 -1  30.35  65
0 4 0  43.45  25
2 2 1  53.39  13
2 4 0  53.74  26
4 2 -3  53.86  25
6 2 -3  71.65  14

Crystal structure
```
data_Ba2InH6Pd
_chemical_formula_sum 'Ba4 In2 H12 Pd2'
_cell_length_a 8.329
_cell_length_b 8.333
_cell_length_c 5.912
_cell_angle_alpha 90.00
_cell_angle_beta 134.54
_cell_angle_gamma 90.00
_symmetry_space_group_name_H-M 'C 1 2/m 1'
_symmetry_Int_Tables_number 12
_symmetry_space_group_name_Hall '-C 2y'
loop_
_atom_site_label
_atom_site_type_symbol
_atom_site_fract_x
_atom_site_fract_y
_atom_site_fract_z
_atom_site_occupancy
Ba1 Ba 0.000 0.250 0.000 1
In1 In 0.000 0.000 0.500 1
H1 H 0.000 0.284 0.500 1
H2 H 0.215 0.500 0.498 1
H3 H 0.215 0.500 0.930 1
Pd1 Pd 0.000 0.500 0.500 1
```

***

Entry 3:
Structure and computed powder diffraction line list of BaH6Ir (the GGA-PBE geometry in Alexandria; Cu Kα (weighted mean of Kα1 and Kα2)).
No peak broadening, texture or thermal motion is included.

Top 8 peaks for 2θ from 10° to 80°, low angle first:
hkl  2θ (°)  I/Imax
1 1 1  25.09  100
2 0 -2  26.83  43
1 1 -3  33.08  49
0 2 0  35.06  21
2 0 2  36.47  19
0 0 4  39.07  16
3 1 -1  40.70  28
2 2 -2  44.70  22

Crystal structure
```
data_BaH6Ir
_chemical_formula_sum 'Ba4 H24 Ir4'
_cell_length_a 7.387
_cell_length_b 5.118
_cell_length_c 9.671
_cell_angle_alpha 90.00
_cell_angle_beta 107.52
_cell_angle_gamma 90.00
_symmetry_space_group_name_H-M 'C 1 2/c 1'
_symmetry_Int_Tables_number 15
_symmetry_space_group_name_Hall '-C 2yc'
loop_
_atom_site_label
_atom_site_type_symbol
_atom_site_fract_x
_atom_site_fract_y
_atom_site_fract_z
_atom_site_occupancy
Ba1 Ba 0.000 0.235 0.250 1
H1 H 0.073 0.472 0.008 1
H2 H 0.168 0.231 0.818 1
H3 H 0.176 0.048 0.532 1
Ir1 Ir 0.250 0.250 0.000 1
```